1.
For CeCo3, a DFT-relaxed cell (GGA-PBE, the Materials Project) gives the theoretical powder diffraction line list in this record (Cu Kα (λ = 1.5418 Å)).
No peak broadening, texture or thermal motion is included.

Cell and atoms:
```
data_CeCo3
_chemical_formula_sum 'Ce9 Co27'
_cell_length_a 4.8941
_cell_length_b 4.8941
_cell_length_c 24.9987
_cell_angle_alpha 90.00
_cell_angle_beta 90.00
_cell_angle_gamma 120.00
_symmetry_space_group_name_H-M 'R -3 m'
_symmetry_Int_Tables_number 166
_symmetry_space_group_name_Hall '-R 3 2"'
loop_
_atom_site_label
_atom_site_fract_x
_atom_site_fract_y
_atom_site_fract_z
_atom_site_occupancy
Ce1 0.0000 0.0000 0.0000 1
Ce2 0.0000 0.0000 0.1389 1
Co1 0.0000 0.0000 0.3319 1
Co2 0.0000 0.0000 0.5000 1
Co3 0.0025 0.5012 0.0806 1
```

Peak list (8 most intense, 5 to 70 degrees two-theta, sorted by position)
2θ (°)	Rel. int.	hkl
32.79	37	1 0 7
35.70	31	0 1 8
36.73	37	1 1 0
42.85	100	1 1 6
45.24	19	0 1 11
46.55	12	2 0 5
63.66	11	2 1 7
65.50	17	0 2 13

2.
For CeCo5, a DFT-relaxed cell (GGA-PBE, the Materials Project) gives the theoretical powder diffraction line list in this record (Cu Kα (λ = 1.5418 Å)).
No peak broadening, texture or thermal motion is included.

Cell and atoms:
```
data_CeCo5
_chemical_formula_sum 'Ce1 Co5'
_cell_length_a 4.8818
_cell_length_b 4.8818
_cell_length_c 4.0246
_cell_angle_alpha 90.00
_cell_angle_beta 90.00
_cell_angle_gamma 120.00
_symmetry_space_group_name_H-M 'P 6/m m m'
_symmetry_Int_Tables_number 191
_symmetry_space_group_name_Hall '-P 6 2'
loop_
_atom_site_label
_atom_site_fract_x
_atom_site_fract_y
_atom_site_fract_z
_atom_site_occupancy
Ce1 0.0000 0.0000 0.0000 1
Co1 0.0000 0.5000 0.5000 1
Co2 0.3333 0.6667 0.0000 1
```

Peak list (8 most intense, 5 to 70 degrees two-theta, sorted by position)
2θ (°)	Rel. int.	hkl
30.67	48	1 0 1
36.82	31	1 1 0
42.78	34	2 0 0
43.36	100	1 1 1
45.05	28	0 0 2
59.54	15	1 1 2
62.54	12	2 1 1
63.87	20	2 0 2

3.
For Ce2Co16Cu, a DFT-relaxed cell (GGA-PBE, the Materials Project) gives the theoretical powder diffraction line list in this record (Cu Kα (λ = 1.5418 Å)).
No peak broadening, texture or thermal motion is included.

Cell and atoms:
```
data_Ce2Co16Cu
_chemical_formula_sum 'Ce8 Co64 Cu4'
_cell_length_a 14.473
_cell_length_b 8.362
_cell_length_c 8.122
_cell_angle_alpha 90.00
_cell_angle_beta 90.01
_cell_angle_gamma 90.00
_symmetry_space_group_name_H-M 'C 1 2/m 1'
_symmetry_Int_Tables_number 12
_symmetry_space_group_name_Hall '-C 2y'
loop_
_atom_site_label
_atom_site_fract_x
_atom_site_fract_y
_atom_site_fract_z
_atom_site_occupancy
Ce1 0.000 0.000 0.248 1
Ce2 0.166 0.500 0.253 1
Co1 0.000 0.500 0.000 1
Co2 0.000 0.500 0.500 1
Co3 0.023 0.353 0.751 1
Co4 0.082 0.246 0.482 1
Co5 0.083 0.250 0.022 1
Co6 0.164 0.000 0.518 1
Co7 0.165 0.211 0.751 1
Co8 0.166 0.000 0.978 1
Co9 0.166 0.500 0.908 1
Co10 0.188 0.141 0.249 1
Co11 0.250 0.250 0.000 1
Co12 0.250 0.250 0.500 1
Cu1 0.167 0.500 0.611 1
```

Peak list (8 most intense, 5 to 70 degrees two-theta, sorted by position)
2θ (°)	Rel. int.	hkl
30.70	34	3 1 2
37.26	41	6 0 0
41.66	43	2 2 -3
43.30	68	6 2 0
43.63	100	3 3 2
44.63	34	0 0 4
49.02	27	0 4 2
63.93	17	6 2 4